Structure and simulated powder X-ray diffraction pattern of HfZr2H4 (a structure optimized by DFT (GGA-PBE); Cu Kα (λ = 1.5418 Å)).
No peak broadening, texture or thermal motion is included.

Atomic structure:
a = 6.0929 Å, b = 6.0929 Å, c = 6.0929 Å
α = 60.00°, β = 60.00°, γ = 60.00°
Sites, in units of the cell vectors:
Hf 0.1250 0.1250 0.1250
Hf 0.8750 0.8750 0.8750
Zr 0.0000 0.5000 0.5000
Zr 0.5000 0.0000 0.5000
Zr 0.5000 0.5000 0.0000
Zr 0.5000 0.5000 0.5000
H 0.2606 0.2606 0.2606
H 0.2606 0.2606 0.7181
H 0.2606 0.7181 0.2606
H 0.2819 0.7394 0.7394
H 0.7181 0.2606 0.2606
H 0.7394 0.2819 0.7394
H 0.7394 0.7394 0.2819
H 0.7394 0.7394 0.7394

Peak list (8 most intense, 2θ from 5° to 70°, by angle)
2θ/deg  I/Imax
17.8  27
29.3  501
34.5  1000
36.1  204
52.0  207
55.4  343
60.8  270
68.9  89